Record 1
Theoretical powder diffractogram
Compound: BaSr4Ga
Radiation: λ = 1.5418 Å (Cu Kα)
Structure: a DFT-relaxed cell (PBE, Alexandria)
Intensities are scaled so that the largest is 100.

Structural model:
```
data_BaSr4Ga
_chemical_formula_sum 'Ba2 Sr8 Ga2'
_space_group_name_H-M_alt 'P 1'
_space_group_IT_number 1
_space_group_name_Hall 'P 1'
_cell_length_a 11.3443
_cell_length_b 11.3443
_cell_length_c 11.3443
_cell_angle_alpha 138.86
_cell_angle_beta 138.86
_cell_angle_gamma 59.58
loop_
_atom_site_label
_atom_site_type_symbol
_atom_site_fract_x
_atom_site_fract_y
_atom_site_fract_z
Ba1 Ba 0.0000 0.0000 0.0000
Ba2 Ba 0.5000 0.5000 0.0000
Sr1 Sr 0.0158 0.5158 0.8581
Sr2 Sr 0.1577 0.0158 0.5000
Sr3 Sr 0.3423 0.8423 0.8581
Sr4 Sr 0.4842 0.3423 0.5000
Sr5 Sr 0.5158 0.6577 0.5000
Sr6 Sr 0.6577 0.1577 0.1419
Sr7 Sr 0.8423 0.9842 0.5000
Sr8 Sr 0.9842 0.4842 0.1419
Ga1 Ga 0.2500 0.2500 0.0000
Ga2 Ga 0.7500 0.7500 0.0000
```

Top 12 peaks for 10° ≤ 2θ ≤ 90°, most intense first:
24.03°, intensity 100.0; 28.49°, intensity 94.5; 28.82°, intensity 82.6; 35.62°, intensity 53.1; 49.13°, intensity 36.6; 27.17°, intensity 36.3; 31.75°, intensity 34.4; 25.39°, intensity 34.2; 15.72°, intensity 30.9; 52.11°, intensity 22.5; 43.20°, intensity 21.4; 48.84°, intensity 20.2

***

Record 2
Theoretical powder diffractogram
Compound: RhPb
Radiation: λ = 1.5418 Å (Cu Kα)
Structure: a DFT-relaxed cell (PBE, Alexandria)
Intensities are scaled so that the largest is 100.

Structural model:
```
data_RhPb
_chemical_formula_sum 'Rh8 Pb8'
_space_group_name_H-M_alt 'P 1'
_space_group_IT_number 1
_space_group_name_Hall 'P 1'
_cell_length_a 5.4525
_cell_length_b 7.6133
_cell_length_c 8.7168
_cell_angle_alpha 90.00
_cell_angle_beta 90.00
_cell_angle_gamma 90.00
loop_
_atom_site_label
_atom_site_type_symbol
_atom_site_fract_x
_atom_site_fract_y
_atom_site_fract_z
Rh1 Rh 0.0015 0.1834 0.1103
Rh2 Rh 0.2264 0.0114 0.3813
Rh3 Rh 0.2736 0.9886 0.8813
Rh4 Rh 0.4985 0.8166 0.6103
Rh5 Rh 0.5015 0.3166 0.8897
Rh6 Rh 0.7264 0.4886 0.6187
Rh7 Rh 0.7736 0.5114 0.1187
Rh8 Rh 0.9985 0.6834 0.3897
Pb1 Pb 0.0006 0.8308 0.1041
Pb2 Pb 0.0129 0.3470 0.8369
Pb3 Pb 0.4871 0.6530 0.3369
Pb4 Pb 0.4994 0.1692 0.6041
Pb5 Pb 0.5006 0.6692 0.8959
Pb6 Pb 0.5129 0.1530 0.1631
Pb7 Pb 0.9871 0.8470 0.6631
Pb8 Pb 0.9994 0.3308 0.3959
```

Top 12 peaks for 10° ≤ 2θ ≤ 90°, most intense first:
40.77°, intensity 100.0; 41.16°, intensity 90.8; 28.72°, intensity 72.8; 28.60°, intensity 57.8; 32.85°, intensity 42.8; 53.63°, intensity 35.8; 34.99°, intensity 34.0; 41.44°, intensity 33.4; 67.39°, intensity 30.9; 83.52°, intensity 28.3; 23.52°, intensity 21.2; 56.11°, intensity 20.8

***

Record 3
Theoretical powder diffractogram
Compound: MgCd12Ag7
Radiation: λ = 1.5418 Å (Cu Kα)
Structure: a DFT-relaxed cell (PBE, Alexandria)
Intensities are scaled so that the largest is 100.

Structural model:
```
data_MgCd12Ag7
_chemical_formula_sum 'Mg1 Cd12 Ag7'
_space_group_name_H-M_alt 'P 1'
_space_group_IT_number 1
_space_group_name_Hall 'P 1'
_cell_length_a 7.8780
_cell_length_b 7.8780
_cell_length_c 7.8780
_cell_angle_alpha 106.26
_cell_angle_beta 106.26
_cell_angle_gamma 106.26
loop_
_atom_site_label
_atom_site_type_symbol
_atom_site_fract_x
_atom_site_fract_y
_atom_site_fract_z
Mg1 Mg 0.0000 0.0000 0.0000
Cd1 Cd 0.0337 0.2944 0.4028
Cd2 Cd 0.2234 0.6596 0.3619
Cd3 Cd 0.2944 0.4028 0.0337
Cd4 Cd 0.3404 0.6381 0.7766
Cd5 Cd 0.3619 0.2234 0.6596
Cd6 Cd 0.4028 0.0337 0.2944
Cd7 Cd 0.5972 0.9663 0.7056
Cd8 Cd 0.6381 0.7766 0.3404
Cd9 Cd 0.6596 0.3619 0.2234
Cd10 Cd 0.7056 0.5972 0.9663
Cd11 Cd 0.7766 0.3404 0.6381
Cd12 Cd 0.9663 0.7056 0.5972
Ag1 Ag 0.0176 0.9027 0.3216
Ag2 Ag 0.0973 0.6784 0.9824
Ag3 Ag 0.3216 0.0176 0.9027
Ag4 Ag 0.5000 0.5000 0.5000
Ag5 Ag 0.6784 0.9824 0.0973
Ag6 Ag 0.9027 0.3216 0.0176
Ag7 Ag 0.9824 0.0973 0.6784
```

Top 12 peaks for 10° ≤ 2θ ≤ 90°, most intense first:
37.77°, intensity 100.0; 38.77°, intensity 53.3; 32.91°, intensity 41.8; 41.43°, intensity 34.1; 74.44°, intensity 20.9; 61.29°, intensity 18.5; 72.49°, intensity 12.0; 24.46°, intensity 11.8; 48.70°, intensity 11.7; 68.19°, intensity 10.7; 35.68°, intensity 7.8; 67.01°, intensity 7.8

***

Record 4
Theoretical powder diffractogram
Compound: CeAl2Ni
Radiation: λ = 1.5418 Å (Cu Kα)
Structure: a DFT-relaxed cell (PBE, Alexandria)
Intensities are scaled so that the largest is 100.

Structural model:
```
data_CeAl2Ni
_chemical_formula_sum 'Ce1 Al2 Ni1'
_space_group_name_H-M_alt 'P 1'
_space_group_IT_number 1
_space_group_name_Hall 'P 1'
_cell_length_a 2.9962
_cell_length_b 2.9962
_cell_length_c 7.5551
_cell_angle_alpha 90.00
_cell_angle_beta 90.00
_cell_angle_gamma 90.00
loop_
_atom_site_label
_atom_site_type_symbol
_atom_site_fract_x
_atom_site_fract_y
_atom_site_fract_z
Ce1 Ce 0.0000 0.0000 0.0000
Al1 Al 0.5000 0.5000 0.3178
Al2 Al 0.5000 0.5000 0.6822
Ni1 Ni 0.0000 0.0000 0.5000
```

Top 12 peaks for 10° ≤ 2θ ≤ 90°, most intense first:
38.34°, intensity 100.0; 23.55°, intensity 44.0; 42.68°, intensity 42.6; 29.82°, intensity 38.6; 75.25°, intensity 26.4; 32.14°, intensity 25.9; 49.32°, intensity 23.8; 57.70°, intensity 23.0; 11.71°, intensity 17.4; 61.94°, intensity 13.8; 89.73°, intensity 13.4; 66.30°, intensity 13.0

***

Record 5
Theoretical powder diffractogram
Compound: Er4IrRh2
Radiation: λ = 1.5418 Å (Cu Kα)
Structure: a DFT-relaxed cell (PBE, Alexandria)
Intensities are scaled so that the largest is 100.

Structural model:
```
data_Er4IrRh2
_chemical_formula_sum 'Er8 Ir2 Rh4'
_space_group_name_H-M_alt 'P 1'
_space_group_IT_number 1
_space_group_name_Hall 'P 1'
_cell_length_a 7.3628
_cell_length_b 7.3628
_cell_length_c 7.3628
_cell_angle_alpha 109.77
_cell_angle_beta 109.33
_cell_angle_gamma 109.31
loop_
_atom_site_label
_atom_site_type_symbol
_atom_site_fract_x
_atom_site_fract_y
_atom_site_fract_z
Er1 Er 0.0015 0.8730 0.4990
Er2 Er 0.1292 0.1315 0.1299
Er3 Er 0.3708 0.5007 0.0023
Er4 Er 0.4985 0.9975 0.8715
Er5 Er 0.5016 0.9993 0.3701
Er6 Er 0.6260 0.6270 0.6285
Er7 Er 0.8740 0.5025 0.0010
Er8 Er 0.9984 0.3685 0.4977
Ir1 Ir 0.2500 0.6286 0.3786
Ir2 Ir 0.7500 0.8714 0.1214
Rh1 Rh 0.1179 0.7500 0.8679
Rh2 Rh 0.3821 0.2500 0.6321
Rh3 Rh 0.6253 0.3753 0.2500
Rh4 Rh 0.8747 0.1247 0.7500
```

Top 12 peaks for 10° ≤ 2θ ≤ 90°, most intense first:
33.27°, intensity 100.0; 39.63°, intensity 68.6; 33.43°, intensity 55.8; 55.13°, intensity 25.9; 39.74°, intensity 21.4; 67.86°, intensity 18.6; 83.43°, intensity 17.4; 50.33°, intensity 16.0; 54.98°, intensity 15.4; 52.70°, intensity 13.7; 29.73°, intensity 13.1; 69.86°, intensity 10.7

***

Record 6
Theoretical powder diffractogram
Compound: Pr4As3P
Radiation: λ = 1.5418 Å (Cu Kα)
Structure: a DFT-relaxed cell (PBE, Alexandria)
Intensities are scaled so that the largest is 100.

Structural model:
```
data_Pr4As3P
_chemical_formula_sum 'Pr4 As3 P1'
_space_group_name_H-M_alt 'P 1'
_space_group_IT_number 1
_space_group_name_Hall 'P 1'
_cell_length_a 6.0555
_cell_length_b 6.0555
_cell_length_c 6.0555
_cell_angle_alpha 90.00
_cell_angle_beta 90.00
_cell_angle_gamma 90.00
loop_
_atom_site_label
_atom_site_type_symbol
_atom_site_fract_x
_atom_site_fract_y
_atom_site_fract_z
Pr1 Pr 0.0000 0.0000 0.0000
Pr2 Pr 0.0000 0.5000 0.5000
Pr3 Pr 0.5000 0.0000 0.5000
Pr4 Pr 0.5000 0.5000 0.0000
As1 As 0.0000 0.0000 0.5000
As2 As 0.0000 0.5000 0.0000
As3 As 0.5000 0.0000 0.0000
P1 P 0.5000 0.5000 0.5000
```

Top 12 peaks for 10° ≤ 2θ ≤ 90°, most intense first:
29.50°, intensity 100.0; 42.21°, intensity 74.9; 69.41°, intensity 33.9; 52.34°, intensity 26.5; 25.48°, intensity 25.4; 77.17°, intensity 25.1; 49.95°, intensity 12.7; 61.23°, intensity 12.4; 67.41°, intensity 5.2; 82.83°, intensity 3.9; 14.63°, intensity 1.5; 20.74°, intensity 1.4